This entry pairs a crystal structure of BaGaBiH with its calculated X-ray powder pattern. Radiation: Cu Kα (weighted mean of Kα1 and Kα2). Structure: the PBE geometry in Alexandria.

The 6 most intense peaks (2θ from 10° to 90°), in order of rising 2θ:
2theta	I_rel
25.52	27.0
26.78	47.7
27.64	93.3
28.23	44.6
35.29	100.0
39.32	30.0

Crystal structure
```
BaGaBiH
1.0
9.1752 0.0000 0.0000
0.0000 4.5823 0.0000
-0.2427 0.0000 5.0944
Ba Ga Bi H
2 2 2 2
Direct
0.0000 0.0000 0.0000
0.5000 0.5000 0.0000
0.1479 0.5000 0.5548
0.6479 0.0000 0.5548
0.3268 0.0000 0.4682
0.8268 0.5000 0.4682
0.1562 0.5000 0.8986
0.6562 0.0000 0.8986
```

=====

This entry pairs a crystal structure of MgBRhO4 with its calculated X-ray powder pattern. Radiation: Cu Kα (weighted mean of Kα1 and Kα2). Structure: the PBE geometry in Alexandria.

The 6 most intense peaks (2θ from 10° to 90°), in order of rising 2θ:
2theta	I_rel
19.48	100.0
22.46	25.8
37.67	88.5
45.89	61.8
50.20	24.4
66.90	26.1

Crystal structure
```
MgBRhO4
1.0
-2.7857 2.8059 3.9579
2.7857 -2.8059 3.9579
2.7857 2.8059 -3.9579
Mg B Rh O
2 2 2 8
Direct
0.5000 0.0000 0.0000
0.5000 0.5000 0.5000
0.1088 0.3588 0.7500
0.8912 0.6412 0.2500
0.0000 0.0000 0.0000
0.5000 0.0000 0.5000
0.2124 0.7374 0.4750
0.2355 0.2628 0.5273
0.2355 0.7082 0.9727
0.2376 0.2626 0.9750
0.7624 0.7374 0.0250
0.7645 0.2918 0.0273
0.7645 0.7372 0.4727
0.7876 0.2626 0.5250
```

=====

This entry pairs a crystal structure of Tb4Pr2Y3 with its calculated X-ray powder pattern. Radiation: Cu Kα (weighted mean of Kα1 and Kα2). Structure: the PBE geometry in Alexandria.

The 6 most intense peaks (2θ from 10° to 90°), in order of rising 2θ:
2theta	I_rel
29.93	57.9
30.47	49.8
30.61	62.8
31.51	100.0
37.10	40.1
37.67	23.1

Crystal structure
```
Tb4Pr2Y3
1.0
8.4243 -5.8668 0.0000
8.4243 5.8668 0.0000
-0.7490 0.0000 5.9938
Tb Pr Y
8 4 6
Direct
0.0452 0.8317 0.9558
0.1592 0.3766 0.1275
0.1683 0.9548 0.5442
0.3766 0.1592 0.6275
0.6234 0.8408 0.3725
0.8317 0.0452 0.4558
0.8408 0.6234 0.8725
0.9548 0.1683 0.0442
0.2804 0.5083 0.7189
0.4917 0.7196 0.7811
0.5083 0.2804 0.2189
0.7196 0.4917 0.2811
0.0142 0.3146 0.5871
0.3146 0.0142 0.0871
0.3499 0.6501 0.2500
0.6501 0.3499 0.7500
0.6854 0.9858 0.9129
0.9858 0.6854 0.4129
```

=====

This entry pairs a crystal structure of BeGa2Rh3 with its calculated X-ray powder pattern. Radiation: Cu Kα (weighted mean of Kα1 and Kα2). Structure: the PBE geometry in Alexandria.

The 6 most intense peaks (2θ from 10° to 90°), in order of rising 2θ:
2theta	I_rel
30.23	16.8
36.53	6.8
43.28	100.0
62.87	15.6
71.33	5.3
79.39	30.5

Crystal structure
```
BeGa2Rh3
1.0
2.9557 0.0000 0.0000
0.0000 2.9557 0.0000
0.0000 0.0000 8.8744
Be Ga Rh
1 2 3
Direct
0.0000 0.0000 0.0000
0.0000 0.0000 0.3216
0.0000 0.0000 0.6784
0.5000 0.5000 0.1539
0.5000 0.5000 0.5000
0.5000 0.5000 0.8461
```